(1)
Theoretical X-ray diffraction stick pattern of Ba2Mn3AlO7 for a wavelength of 1.5418 Å, from a cell relaxed with GGA+U.
Neutral-atom scattering factors, no anomalous dispersion.

Atomic structure:
```
data_Ba2Mn3AlO7
_chemical_formula_sum 'Ba2 Mn3 Al1 O7'
_cell_length_a 3.805
_cell_length_b 4.009
_cell_length_c 11.750
_cell_angle_alpha 90.00
_cell_angle_beta 90.00
_cell_angle_gamma 90.00
_space_group_name_H-M_alt 'P m m m'
_space_group_IT_number 47
_space_group_name_Hall '-P 2 2'
loop_
_atom_site_label
_atom_site_type_symbol
_atom_site_fract_x
_atom_site_fract_y
_atom_site_fract_z
Ba1 Ba 0.000 0.000 0.184
Mn1 Mn 0.500 0.500 0.000
Mn2 Mn 0.500 0.500 0.356
Al1 Al 0.000 0.000 0.500
O1 O 0.000 0.500 0.393
O2 O 0.500 0.000 0.000
O3 O 0.500 0.000 0.393
O4 O 0.500 0.500 0.173
```

Principal peaks in the range 2θ from 15° to 90°, in order of falling intensity:
hkl 1 0 3, 32.82°, d 2.729, rel. 100
hkl 1 1 0, 32.44°, d 2.760, rel. 98
hkl 0 1 3, 31.95°, d 2.801, rel. 91
hkl 1 2 3, 57.00°, d 1.616, rel. 39
hkl 1 1 6, 57.73°, d 1.597, rel. 38
hkl 0 2 0, 45.24°, d 2.004, rel. 36
hkl 2 1 3, 58.66°, d 1.574, rel. 32
hkl 2 0 0, 47.81°, d 1.903, rel. 31
hkl 1 0 2, 27.94°, d 3.194, rel. 27
hkl 0 0 5, 38.30°, d 2.350, rel. 27

(2)
Theoretical X-ray diffraction stick pattern of BaSrMn2Al9PbO20 for a wavelength of 1.5418 Å, from a cell relaxed with GGA+U.
Neutral-atom scattering factors, no anomalous dispersion.

Atomic structure:
```
data_BaSrMn2Al9PbO20
_chemical_formula_sum 'Ba1 Sr1 Mn2 Al9 Pb1 O20'
_cell_length_a 5.038
_cell_length_b 9.685
_cell_length_c 9.786
_cell_angle_alpha 99.91
_cell_angle_beta 104.37
_cell_angle_gamma 105.06
_space_group_name_H-M_alt 'P 1'
_space_group_IT_number 1
_space_group_name_Hall 'P 1'
loop_
_atom_site_label
_atom_site_type_symbol
_atom_site_fract_x
_atom_site_fract_y
_atom_site_fract_z
Ba1 Ba 0.000 0.000 0.000
Sr1 Sr 0.021 0.288 0.731
Mn1 Mn 0.138 0.643 0.635
Mn2 Mn 0.490 0.503 0.496
Al1 Al 0.247 0.157 0.428
Al2 Al 0.322 0.427 0.156
Al3 Al 0.357 0.719 0.018
Al4 Al 0.377 0.021 0.714
Al5 Al 0.617 0.998 0.289
Al6 Al 0.658 0.291 0.992
Al7 Al 0.690 0.580 0.853
Al8 Al 0.745 0.861 0.575
Al9 Al 0.852 0.367 0.362
Pb1 Pb 0.948 0.727 0.277
O1 O 0.023 0.303 0.009
O2 O 0.093 0.845 0.662
O3 O 0.159 0.441 0.562
O4 O 0.191 0.447 0.309
O5 O 0.261 0.131 0.602
O6 O 0.285 0.018 0.298
O7 O 0.420 0.668 0.848
O8 O 0.438 0.108 0.897
O9 O 0.449 0.699 0.549
O10 O 0.461 0.603 0.128
O11 O 0.550 0.314 0.450
O12 O 0.560 0.403 0.878
O13 O 0.571 0.902 0.111
O14 O 0.598 0.336 0.167
O15 O 0.711 0.006 0.700
O16 O 0.736 0.887 0.401
O17 O 0.787 0.554 0.686
O18 O 0.794 0.559 0.414
O19 O 0.897 0.175 0.344
O20 O 0.994 0.707 0.990
```

Principal peaks in the range 2θ from 15° to 90°, in order of falling intensity:
hkl 0 1 1, 15.40°, d 5.755, rel. 100
hkl 1 2 -1, 29.78°, d 3.001, rel. 86
hkl 1 0 -3, 29.64°, d 3.014, rel. 86
hkl -1 2 2, 29.37°, d 3.041, rel. 82
hkl 1 -3 1, 30.88°, d 2.896, rel. 79
hkl 1 1 1, 29.17°, d 3.061, rel. 76
hkl 0 1 -3, 28.35°, d 3.148, rel. 73
hkl 0 3 -1, 28.73°, d 3.108, rel. 65
hkl -2 1 1, 35.64°, d 2.519, rel. 64
hkl -1 1 1, 19.30°, d 4.599, rel. 54